# 1
Structure and calculated powder diffractogram of CeSiPt (DFT lattice parameters and positions (PBE); λ = 1.5418 Å (Cu Kα)).

Cell and atoms:
```
data_CeSiPt
_chemical_formula_sum 'Ce4 Si4 Pt4'
_symmetry_space_group_name_H-M 'I 41 m d'
_symmetry_Int_Tables_number 109
_symmetry_space_group_name_Hall 'I 4bw -2'
_cell_length_a 4.1545
_cell_length_b 4.1545
_cell_length_c 14.6319
_cell_angle_alpha 90.00
_cell_angle_beta 90.00
_cell_angle_gamma 90.00
loop_
_atom_site_label
_atom_site_type_symbol
_atom_site_fract_x
_atom_site_fract_y
_atom_site_fract_z
Ce1 Ce 0.0000 0.0000 0.0000
Si1 Si 0.0000 0.0000 0.4187
Pt1 Pt 0.0000 0.0000 0.5856
```

Principal peaks in the range 2θ = 15–90°, in order of rising 2θ:
(1 0 1), 22.24°, d = 3.997 Å, I = 15.4; (1 0 3), 28.22°, d = 3.163 Å, I = 43.6; (1 1 2), 32.85°, d = 2.726 Å, I = 100.0; (1 0 5), 37.60°, d = 2.392 Å, I = 50.3; (2 0 0), 43.57°, d = 2.077 Å, I = 36.7; (1 0 7), 48.77°, d = 1.867 Å, I = 23.2; (2 1 3), 52.72°, d = 1.736 Å, I = 15.8; (2 1 5), 58.88°, d = 1.569 Å, I = 27.5; (2 1 7), 67.44°, d = 1.389 Å, I = 17.6; (3 1 2), 73.19°, d = 1.293 Å, I = 20.0

# 2
Structure and calculated powder diffractogram of CeSn2Pt2 (DFT lattice parameters and positions (PBE); λ = 1.5418 Å (Cu Kα)).

Cell and atoms:
```
data_CeSn2Pt2
_chemical_formula_sum 'Ce2 Sn4 Pt4'
_symmetry_space_group_name_H-M 'P 4/n m m'
_symmetry_Int_Tables_number 129
_cell_length_a 4.6306
_cell_length_b 4.6306
_cell_length_c 10.5864
_cell_angle_alpha 90.00
_cell_angle_beta 90.00
_cell_angle_gamma 90.00
loop_
_symmetry_equiv_pos_as_xyz
'x,y,z'
'-x,-y,-z'
'-y+1/2,x,z'
'y+1/2,-x,-z'
'-x+1/2,-y+1/2,z'
'x+1/2,y+1/2,-z'
'y,-x+1/2,z'
'-y,x+1/2,-z'
'x+1/2,-y,-z'
'-x+1/2,y,z'
'-y,-x,-z'
'y,x,z'
'-x,y+1/2,-z'
'x,-y+1/2,z'
'y+1/2,x+1/2,-z'
'-y+1/2,-x+1/2,z'
loop_
_atom_site_label
_atom_site_type_symbol
_atom_site_fract_x
_atom_site_fract_y
_atom_site_fract_z
Ce1 Ce 0.2500 0.2500 0.2437
Sn1 Sn 0.2500 0.2500 0.8744
Sn2 Sn 0.2500 0.7500 0.5000
Pt1 Pt 0.2500 0.2500 0.6301
Pt2 Pt 0.2500 0.7500 0.0000
```

Principal peaks in the range 2θ = 15–90°, in order of rising 2θ:
(1 0 3), 31.88°, d = 2.807 Å, I = 56.3; (1 1 2), 32.14°, d = 2.785 Å, I = 100.0; (2 0 0), 38.90°, d = 2.315 Å, I = 81.3; (1 1 4), 43.99°, d = 2.058 Å, I = 47.1; (1 0 5), 47.20°, d = 1.926 Å, I = 25.2; (2 1 3), 51.14°, d = 1.786 Å, I = 30.3; (2 2 0), 56.18°, d = 1.637 Å, I = 28.4; (2 1 5), 62.76°, d = 1.480 Å, I = 20.3; (3 1 2), 66.22°, d = 1.411 Å, I = 25.6; (3 1 4), 73.98°, d = 1.281 Å, I = 21.3

# 3
Structure and calculated powder diffractogram of CeZnPt (DFT lattice parameters and positions (PBE); λ = 1.5418 Å (Cu Kα)).

Cell and atoms:
```
data_CeZnPt
_chemical_formula_sum 'Ce4 Zn4 Pt4'
_symmetry_space_group_name_H-M 'P n m a'
_symmetry_Int_Tables_number 62
_cell_length_a 6.9526
_cell_length_b 4.3438
_cell_length_c 8.1243
_cell_angle_alpha 90.00
_cell_angle_beta 90.00
_cell_angle_gamma 90.00
loop_
_symmetry_equiv_pos_as_xyz
'x,y,z'
'-x,-y,-z'
'-x+1/2,-y,z+1/2'
'x+1/2,y,-z+1/2'
'x+1/2,-y+1/2,-z+1/2'
'-x+1/2,y+1/2,z+1/2'
'-x,y+1/2,-z'
'x,-y+1/2,z'
loop_
_atom_site_label
_atom_site_type_symbol
_atom_site_fract_x
_atom_site_fract_y
_atom_site_fract_z
Ce1 Ce 0.0347 0.2500 0.1934
Zn1 Zn 0.1462 0.2500 0.5654
Pt1 Pt 0.2453 0.7500 0.3867
```

Principal peaks in the range 2θ = 15–90°, in order of rising 2θ:
(1 0 2), 25.39°, d = 3.507 Å, I = 28.9; (1 1 1), 26.57°, d = 3.355 Å, I = 33.7; (1 1 2), 32.82°, d = 2.729 Å, I = 29.8; (2 1 1), 34.85°, d = 2.574 Å, I = 100.0; (0 1 3), 39.20°, d = 2.298 Å, I = 50.7; (1 1 3), 41.38°, d = 2.182 Å, I = 21.7; (0 2 0), 41.58°, d = 2.172 Å, I = 39.6; (3 0 2), 45.04°, d = 2.013 Å, I = 27.2; (3 2 2), 62.96°, d = 1.476 Å, I = 20.1; (3 1 5), 74.62°, d = 1.272 Å, I = 16.0

# 4
Structure and calculated powder diffractogram of Rb3Ce (DFT lattice parameters and positions (PBE); λ = 1.5418 Å (Cu Kα)).

Cell and atoms:
```
data_Rb3Ce
_chemical_formula_sum 'Rb3 Ce1'
_symmetry_space_group_name_H-M 'P m -3 m'
_symmetry_Int_Tables_number 221
_symmetry_space_group_name_Hall '-P 4 2 3'
_cell_length_a 7.4754
_cell_length_b 7.4754
_cell_length_c 7.4754
_cell_angle_alpha 90.00
_cell_angle_beta 90.00
_cell_angle_gamma 90.00
loop_
_atom_site_label
_atom_site_type_symbol
_atom_site_fract_x
_atom_site_fract_y
_atom_site_fract_z
Rb1 Rb 0.0000 0.0000 0.5000
Ce1 Ce 0.5000 0.5000 0.5000
```

Principal peaks in the range 2θ = 15–90°, in order of rising 2θ:
(1 1 1), 20.58°, d = 4.316 Å, I = 100.0; (2 0 0), 23.81°, d = 3.738 Å, I = 52.8; (2 2 0), 33.92°, d = 2.643 Å, I = 42.1; (3 1 1), 40.00°, d = 2.254 Å, I = 53.0; (2 2 2), 41.86°, d = 2.158 Å, I = 15.5; (3 3 1), 53.43°, d = 1.715 Å, I = 22.5; (4 2 0), 54.93°, d = 1.672 Å, I = 20.7; (4 2 2), 60.69°, d = 1.526 Å, I = 15.3; (5 1 1), 64.81°, d = 1.439 Å, I = 16.8; (5 3 1), 75.20°, d = 1.264 Å, I = 16.4

# 5
Structure and calculated powder diffractogram of RbCeSe4 (DFT lattice parameters and positions (PBE); λ = 1.5418 Å (Cu Kα)).

Cell and atoms:
```
data_RbCeSe4
_chemical_formula_sum 'Rb2 Ce2 Se8'
_symmetry_space_group_name_H-M 'P 4/m m m'
_symmetry_Int_Tables_number 123
_symmetry_space_group_name_Hall '-P 4 2'
_cell_length_a 7.2952
_cell_length_b 7.2952
_cell_length_c 10.5007
_cell_angle_alpha 90.00
_cell_angle_beta 90.00
_cell_angle_gamma 90.00
loop_
_atom_site_label
_atom_site_type_symbol
_atom_site_fract_x
_atom_site_fract_y
_atom_site_fract_z
Rb1 Rb 0.0000 0.5000 0.0000
Ce1 Ce 0.0000 0.5000 0.5000
Se1 Se 0.0000 0.2808 0.2844
```

Principal peaks in the range 2θ = 15–90°, in order of rising 2θ:
(1 1 0), 17.19°, d = 5.159 Å, I = 100.0; (1 0 2), 20.85°, d = 4.261 Å, I = 21.4; (1 1 2), 24.19°, d = 3.680 Å, I = 30.9; (2 0 0), 24.40°, d = 3.648 Å, I = 29.7; (2 1 0), 27.34°, d = 3.263 Å, I = 25.3; (2 0 2), 29.83°, d = 2.996 Å, I = 29.1; (2 1 2), 32.31°, d = 2.771 Å, I = 26.7; (1 1 4), 38.48°, d = 2.340 Å, I = 22.2; (2 2 2), 38.90°, d = 2.315 Å, I = 74.3; (3 1 2), 42.82°, d = 2.112 Å, I = 35.7

# 6
Structure and calculated powder diffractogram of RbCeTe2 (DFT lattice parameters and positions (PBE); λ = 1.5418 Å (Cu Kα)).

Cell and atoms:
```
data_RbCeTe2
_chemical_formula_sum 'Rb3 Ce3 Te6'
_symmetry_space_group_name_H-M 'R -3 m'
_symmetry_Int_Tables_number 166
_symmetry_space_group_name_Hall '-R 3 2"'
_cell_length_a 4.7027
_cell_length_b 4.7027
_cell_length_c 25.6125
_cell_angle_alpha 90.00
_cell_angle_beta 90.00
_cell_angle_gamma 120.00
loop_
_atom_site_label
_atom_site_type_symbol
_atom_site_fract_x
_atom_site_fract_y
_atom_site_fract_z
Rb1 Rb 0.0000 0.0000 0.0000
Ce1 Ce 0.0000 0.0000 0.5000
Te1 Te 0.0000 0.0000 0.2346
```

Principal peaks in the range 2θ = 15–90°, in order of rising 2θ:
(1 0 4), 25.93°, d = 3.436 Å, I = 100.0; (1 0 7), 32.91°, d = 2.722 Å, I = 11.1; (0 1 8), 35.67°, d = 2.517 Å, I = 33.8; (1 1 0), 38.28°, d = 2.351 Å, I = 38.3; (0 1 11), 44.84°, d = 2.021 Å, I = 7.9; (0 2 4), 46.81°, d = 1.941 Å, I = 19.8; (2 0 8), 53.32°, d = 1.718 Å, I = 10.6; (1 1 12), 58.39°, d = 1.580 Å, I = 10.4; (2 1 4), 62.01°, d = 1.497 Å, I = 17.0; (1 2 8), 67.52°, d = 1.387 Å, I = 10.3